Entry 1:
Structure and theoretical powder X-ray diffraction pattern of RbBi4Te6 (a DFT-relaxed cell (PBE, Alexandria); CuKα).

Atomic structure:
a = 4.7565 Å, b = 14.8811 Å, c = 23.5241 Å
α = 90.00°, β = 90.00°, γ = 90.00°
Space group Cmcm (No. 63)
Unique sites:
Rb 0.0000 0.1504 0.2500 x4
Bi 0.0000 0.0921 0.6331 x8
Bi 0.0000 0.3632 0.5382 x8
Te 0.0000 0.0000 0.0000 x4
Te 0.0000 0.1715 0.7500 x4
Te 0.0000 0.2594 0.0830 x8
Te 0.0000 0.4667 0.6528 x8

The 8 most intense peaks (2θ from 10° to 90°), by angle:
h k l	2theta	Rel. int.
0 2 5	22.36	46
0 2 6	25.68	52
1 3 1	26.23	61
1 3 2	27.06	100
1 3 3	28.38	84
2 0 0	37.83	52
1 5 4	38.84	48
1 1 9	39.82	43



Entry 2:
Structure and theoretical powder X-ray diffraction pattern of Li2Sb2Rh3 (a DFT-relaxed cell (PBE, Alexandria); CuKα).

Atomic structure:
a = 4.4340 Å, b = 4.4812 Å, c = 7.1760 Å
α = 106.81°, β = 90.77°, γ = 119.22°
Space group P-1 (No. 2)
Unique sites:
Li 0.1359 0.2751 0.4058 x2
Sb 0.4064 0.8189 0.2176 x2
Rh 0.0000 0.0000 0.0000 x1
Rh 0.2721 0.5395 0.8152 x2

The 8 most intense peaks (2θ from 10° to 90°), by angle:
h k l	2theta	Rel. int.
0 0 1	13.11	100
0 0 2	26.40	24
-1 1 2	38.52	24
1 0 2	38.81	23
0 1 -3	39.22	22
1 1 -1	40.00	45
1 -2 1	40.27	38
2 -1 0	40.70	37